1.
Structure and calculated powder X-ray diffraction pattern of MoH8S2N2O2 (a structure optimized by DFT (PBE+U); a wavelength of 1.5418 Å).
No peak broadening, texture or thermal motion is included.

Structural model:
Lattice parameters (Å, degrees): 6.891 6.891 9.620 113.06 113.06 64.82
Element x y z (fractional)
Mo1 0.083 0.917 0.750
Mo2 0.917 0.083 0.250
H1 0.120 0.528 0.176
H2 0.205 0.277 0.214
H3 0.206 0.287 0.039
H4 0.277 0.205 0.714
H5 0.287 0.206 0.539
H6 0.364 0.394 0.709
H7 0.394 0.364 0.209
H8 0.472 0.880 0.324
H9 0.528 0.120 0.676
H10 0.606 0.636 0.791
H11 0.636 0.606 0.291
H12 0.713 0.794 0.461
H13 0.723 0.795 0.286
H14 0.794 0.713 0.961
H15 0.795 0.723 0.786
H16 0.880 0.472 0.824
S1 0.253 0.728 0.561
S2 0.272 0.747 0.939
S3 0.728 0.253 0.061
S4 0.747 0.272 0.439
N1 0.231 0.365 0.159
N2 0.365 0.231 0.659
N3 0.635 0.769 0.341
N4 0.769 0.635 0.841
O1 0.097 0.197 0.823
O2 0.197 0.097 0.323
O3 0.803 0.903 0.677
O4 0.903 0.803 0.177

The 12 most intense peaks (2θ = 15–90°), by angle:
2θ (°), I (rel.)
15.59, 52.1
17.21, 100.0
19.95, 32.6
20.26, 49.7
22.08, 55.9
26.00, 58.5
26.30, 33.1
27.45, 48.0
28.69, 35.5
28.78, 39.0
31.48, 36.3
32.07, 41.7

---

2.
Structure and calculated powder X-ray diffraction pattern of NaNi2Mo2H3O10 (a structure optimized by DFT (PBE+U); a wavelength of 1.5418 Å).
No peak broadening, texture or thermal motion is included.

Structural model:
Lattice parameters (Å, degrees): 5.679 5.679 7.690 111.24 111.24 68.36
Element x y z (fractional)
Na1 0.000 0.000 0.000
Ni1 0.498 0.002 0.500
Ni2 0.998 0.502 0.500
Mo1 0.420 0.422 0.217
Mo2 0.578 0.580 0.783
H1 0.179 0.182 0.720
H2 0.818 0.821 0.280
H3 0.998 0.002 0.500
O1 0.143 0.148 0.579
O2 0.230 0.688 0.756
O3 0.264 0.262 0.983
O4 0.312 0.770 0.244
O5 0.330 0.332 0.388
O6 0.668 0.670 0.612
O7 0.686 0.231 0.756
O8 0.738 0.736 0.017
O9 0.769 0.314 0.244
O10 0.852 0.857 0.421

The 12 most intense peaks (2θ = 15–90°), by angle:
2θ (°), I (rel.)
17.42, 100.0
24.29, 23.8
25.15, 84.0
27.09, 72.9
29.21, 65.6
30.87, 29.8
31.84, 43.1
34.17, 85.2
35.01, 22.1
51.95, 24.0
52.64, 44.6
58.64, 23.9